CaTb12Er5: computed powder diffractogram (Cu Kα), based on a DFT-relaxed cell (PBE, Alexandria).

Peak list (8 most intense, 2θ from 10° to 90°, low angle first)
- 2θ = 30.76°, d = 2.906 Å, I 100
- 2θ = 35.67°, d = 2.517 Å, I 51
- 2θ = 51.34°, d = 1.780 Å, I 36
- 2θ = 61.01°, d = 1.519 Å, I 21
- 2θ = 61.09°, d = 1.517 Å, I 21
- 2θ = 64.08°, d = 1.453 Å, I 12
- 2θ = 83.70°, d = 1.156 Å, I 9
- 2θ = 83.81°, d = 1.154 Å, I 9

Structural model:
Cell lengths 10.671, 5.033, 10.689 Å; angles 90.00, 90.12, 90.00 degrees
Space group P2/m (No. 10)
Unique sites:
Ca  0.000  0.000  0.000 (multiplicity 1)
Tb  0.001  0.000  0.662 (multiplicity 2)
Tb  0.167  0.500  0.500 (multiplicity 2)
Tb  0.172  0.500  0.172 (multiplicity 2)
Tb  0.334  0.000  0.334 (multiplicity 2)
Tb  0.338  0.000  0.999 (multiplicity 2)
Tb  0.499  0.500  0.833 (multiplicity 2)
Er  0.173  0.500  0.827 (multiplicity 2)
Er  0.333  0.000  0.666 (multiplicity 2)
Er  0.500  0.500  0.500 (multiplicity 1)